# Li2MnV3O8
Simulated powder X-ray diffraction pattern, λ = 1.5418 Å (Cu Kα). Input: a PBE+U-relaxed structure.

Structural model:
```
data_Li2MnV3O8
_chemical_formula_sum 'Li4 Mn2 V6 O16'
_symmetry_space_group_name_H-M 'C 1 m 1'
_symmetry_Int_Tables_number 8
_cell_length_a 12.1020
_cell_length_b 4.0016
_cell_length_c 6.6374
_cell_angle_alpha 90.00
_cell_angle_beta 106.35
_cell_angle_gamma 90.00
loop_
_symmetry_equiv_pos_as_xyz
'x,y,z'
'x,-y,z'
'x+1/2,y+1/2,z'
'x+1/2,-y+1/2,z'
loop_
_atom_site_label
_atom_site_type_symbol
_atom_site_fract_x
_atom_site_fract_y
_atom_site_fract_z
Li1 Li 0.0000 0.0000 0.0000
Li2 Li 0.1213 0.0000 0.7219
Mn1 Mn 0.3516 0.0000 0.0625
V1 V 0.1714 0.5000 0.0859
V2 V 0.2731 0.5000 0.6670
V3 V 0.4542 0.0000 0.6402
O1 O 0.0024 0.5000 0.9948
O2 O 0.1244 0.5000 0.7251
O3 O 0.1814 0.0000 0.0400
O4 O 0.2122 0.5000 0.3542
O5 O 0.2909 0.0000 0.6842
O6 O 0.3284 0.5000 0.0078
O7 O 0.4272 0.0000 0.3778
O8 O 0.4447 0.5000 0.6841
```

Largest 8 diffraction maxima, in order of falling intensity, 10 to 80 degrees two-theta:
2θ (°), I (rel.), h k l
23.51, 100.0, 1 1 0
13.90, 70.9, 0 0 1
28.02, 67.6, 0 0 2
45.32, 58.7, 0 2 0
15.26, 53.7, 2 0 0
44.95, 48.6, 6 0 -1
42.58, 40.4, 0 0 3
32.40, 35.6, 3 1 -1